No. 1
Diffraction record for Zr2P2O9. The PXRD pattern is theoretical, not measured: it uses a cell relaxed with PBE and Cu Kα, 1.54184 Å.

Largest 12 diffraction maxima, low angle first, 10° ≤ 2θ ≤ 90°:
| 2θ/deg | intensity | h k l |
| --- | --- | --- |
| 16.0 | 67.6 | 1 1 -1 |
| 26.2 | 42.2 | 4 0 -2 |
| 26.7 | 100.0 | 0 2 0 |
| 27.7 | 26.8 | 2 0 -3 |
| 37.8 | 9.9 | 4 2 -2 |
| 38.2 | 12.4 | 2 2 1 |
| 39.1 | 19.4 | 3 1 -4 |
| 41.7 | 14.3 | 1 3 -1 |
| 45.9 | 16.2 | 6 0 -1 |
| 53.9 | 9.9 | 6 2 -1 |
| 55.1 | 14.5 | 0 4 0 |
| 55.8 | 12.0 | 3 3 -4 |

Atomic structure:
a b c (Å): 13.6239 6.6666 9.9177
angles (deg): 90.00 131.01 90.00
Space group C2/m (No. 12)
Asymmetric unit:
Zr: 0.0576 0.0000 0.3996
Zr: 0.1833 0.5000 0.1360
P: 0.0908 0.5000 0.3409
P: 0.1718 0.0000 0.0514
O: 0.0146 0.5000 0.1353
O: 0.0335 0.0000 0.8650
O: 0.0668 0.3123 0.4010
O: 0.1150 0.0000 0.6587
O: 0.1877 0.1889 0.1529
O: 0.2253 0.5000 0.9697
O: 0.2322 0.5000 0.4091

---

No. 2
Diffraction record for ZrP2O7. The PXRD pattern is theoretical, not measured: it uses a cell relaxed with PBE and Cu Kα, 1.54184 Å.

Largest 12 diffraction maxima, low angle first, 10° ≤ 2θ ≤ 90°:
| 2θ/deg | intensity | h k l |
| --- | --- | --- |
| 16.7 | 31.6 | 1 1 0 |
| 21.0 | 100.0 | 1 0 1 |
| 23.5 | 17.9 | 1 1 1 |
| 24.7 | 19.2 | 1 2 0 |
| 29.8 | 18.9 | 1 2 1 |
| 32.9 | 24.1 | 2 1 1 |
| 33.0 | 8.5 | 0 0 2 |
| 42.7 | 6.9 | 2 0 2 |
| 48.0 | 16.4 | 2 2 2 |
| 48.6 | 7.9 | 3 2 1 |
| 50.7 | 6.0 | 2 4 0 |
| 53.9 | 10.7 | 3 1 2 |

Atomic structure:
a b c (Å): 6.7864 8.4880 5.4280
angles (deg): 90.00 90.00 90.00
Space group Pnnm (No. 58)
Asymmetric unit:
Zr: 0.0000 0.0000 0.0000
P: 0.1885 0.3923 0.0000
O: 0.0000 0.5000 0.0000
O: 0.1194 0.2231 0.0000
O: 0.1992 0.9318 0.2672

---

No. 3
Diffraction record for ZrP2O7. The PXRD pattern is theoretical, not measured: it uses a cell relaxed with PBE and Cu Kα, 1.54184 Å.

Largest 12 diffraction maxima, low angle first, 10° ≤ 2θ ≤ 90°:
| 2θ/deg | intensity | h k l |
| --- | --- | --- |
| 18.2 | 35.0 | 1 1 1 |
| 21.0 | 100.0 | 2 0 0 |
| 23.5 | 35.7 | 2 1 0 |
| 25.8 | 36.6 | 2 1 1 |
| 29.9 | 31.6 | 2 2 0 |
| 35.2 | 37.6 | 3 1 1 |
| 46.9 | 9.4 | 3 3 1 |
| 48.2 | 28.8 | 4 0 2 |
| 53.1 | 24.6 | 4 2 2 |
| 56.6 | 25.1 | 5 1 1 |
| 62.2 | 10.9 | 4 4 0 |
| 66.4 | 10.6 | 4 4 2 |

Atomic structure:
a b c (Å): 8.4478 8.4478 8.4478
angles (deg): 90.00 90.00 90.00
Space group Pa-3 (No. 205)
Asymmetric unit:
Zr: 0.0000 0.0000 0.0000
P: 0.1080 0.6080 0.8920
O: 0.0000 0.0000 0.5000
O: 0.0549 0.7228 0.4162